Diffraction record for LaYBe. The PXRD pattern is calculated, not measured: it uses a PBE-relaxed structure and copper Kα.
Intensities are scaled so that the largest is 100.

Main lines, by intensity (5 to 70 degrees two-theta):
d/Å	I_rel
3.055	100
2.407	64
3.339	43
1.702	25
1.486	22
1.951	19

```
data_LaYBe
_cell_length_a 7.7454
_cell_length_b 7.7454
_cell_length_c 6.8052
_cell_angle_alpha 90.00
_cell_angle_beta 90.00
_cell_angle_gamma 127.95
_symmetry_space_group_name_H-M 'P 1'
_symmetry_Int_Tables_number 1
loop_
_symmetry_equiv_pos_as_xyz
'x,y,z'
loop_
_atom_site_label
_atom_site_type_symbol
_atom_site_fract_x
_atom_site_fract_y
_atom_site_fract_z
La1 La 0.1953 0.8047 0.9978
La2 La 0.3047 0.6953 0.4978
La3 La 0.6953 0.3047 0.5022
La4 La 0.8047 0.1953 0.0022
Y1 Y 0.2493 0.2507 0.7500
Y2 Y 0.2507 0.2493 0.2500
Y3 Y 0.7493 0.7507 0.7500
Y4 Y 0.7507 0.7493 0.2500
Be1 Be 0.1046 0.8954 0.5011
Be2 Be 0.3954 0.6046 0.0011
Be3 Be 0.6046 0.3954 0.9989
Be4 Be 0.8954 0.1046 0.4989
```

Diffraction record for LaZrBe2. The PXRD pattern is calculated, not measured: it uses a PBE-relaxed structure and copper Kα.
Intensities are scaled so that the largest is 100.

Main lines, by intensity (5 to 70 degrees two-theta):
d/Å	I_rel
3.283	100
2.469	69
3.193	35
3.049	34
2.570	27
2.563	27

```
data_LaZrBe2
_cell_length_a 3.3085
_cell_length_b 3.8952
_cell_length_c 6.3139
_cell_angle_alpha 90.00
_cell_angle_beta 105.03
_cell_angle_gamma 90.00
_symmetry_space_group_name_H-M 'P 1'
_symmetry_Int_Tables_number 1
loop_
_symmetry_equiv_pos_as_xyz
'x,y,z'
loop_
_atom_site_label
_atom_site_type_symbol
_atom_site_fract_x
_atom_site_fract_y
_atom_site_fract_z
La1 La 0.0000 0.0000 0.0000
Zr1 Zr 0.7101 0.5000 0.4166
Be1 Be 0.2857 0.0000 0.5676
Be2 Be 0.3724 0.5000 0.7428
```

Diffraction record for Li6Be. The PXRD pattern is calculated, not measured: it uses a PBE-relaxed structure and copper Kα.
Intensities are scaled so that the largest is 100.

Main lines, by intensity (5 to 70 degrees two-theta):
d/Å	I_rel
2.558	100
1.674	53
3.133	47
1.809	28
1.566	28
1.401	15

```
data_Li6Be
_cell_length_a 5.4259
_cell_length_b 5.4259
_cell_length_c 5.4259
_cell_angle_alpha 109.47
_cell_angle_beta 109.47
_cell_angle_gamma 109.47
_symmetry_space_group_name_H-M 'P 1'
_symmetry_Int_Tables_number 1
loop_
_symmetry_equiv_pos_as_xyz
'x,y,z'
loop_
_atom_site_label
_atom_site_type_symbol
_atom_site_fract_x
_atom_site_fract_y
_atom_site_fract_z
Li1 Li 0.2500 0.5000 0.7500
Li2 Li 0.2500 0.7500 0.5000
Li3 Li 0.5000 0.2500 0.7500
Li4 Li 0.5000 0.7500 0.2500
Li5 Li 0.7500 0.2500 0.5000
Li6 Li 0.7500 0.5000 0.2500
Be1 Be 0.0000 0.0000 0.0000
```

Diffraction record for LiBe3. The PXRD pattern is calculated, not measured: it uses a PBE-relaxed structure and copper Kα.
Intensities are scaled so that the largest is 100.

Main lines, by intensity (5 to 70 degrees two-theta):
d/Å	I_rel
1.892	100
1.829	91
1.834	46
1.824	45
4.417	13
3.668	2

```
data_LiBe3
_cell_length_a 2.2121
_cell_length_b 3.6682
_cell_length_c 4.4925
_cell_angle_alpha 90.00
_cell_angle_beta 100.49
_cell_angle_gamma 90.00
_symmetry_space_group_name_H-M 'P 1'
_symmetry_Int_Tables_number 1
loop_
_symmetry_equiv_pos_as_xyz
'x,y,z'
loop_
_atom_site_label
_atom_site_type_symbol
_atom_site_fract_x
_atom_site_fract_y
_atom_site_fract_z
Li1 Li 0.0000 0.0000 0.0000
Be1 Be 0.2384 0.5000 0.7340
Be2 Be 0.5000 0.0000 0.5000
Be3 Be 0.7616 0.5000 0.2660
```

Diffraction record for LiBe. The PXRD pattern is calculated, not measured: it uses a PBE-relaxed structure and copper Kα.
Intensities are scaled so that the largest is 100.

Main lines, by intensity (5 to 70 degrees two-theta):
d/Å	I_rel
2.021	100
2.071	27
1.637	26
4.142	6

```
data_LiBe
_cell_length_a 2.3157
_cell_length_b 2.3157
_cell_length_c 4.1419
_cell_angle_alpha 90.00
_cell_angle_beta 90.00
_cell_angle_gamma 90.00
_symmetry_space_group_name_H-M 'P 1'
_symmetry_Int_Tables_number 1
loop_
_symmetry_equiv_pos_as_xyz
'x,y,z'
loop_
_atom_site_label
_atom_site_type_symbol
_atom_site_fract_x
_atom_site_fract_y
_atom_site_fract_z
Li1 Li 0.0000 0.0000 0.0000
Be1 Be 0.5000 0.5000 0.5000
```

Diffraction record for LiBe3. The PXRD pattern is calculated, not measured: it uses a PBE-relaxed structure and copper Kα.
Intensities are scaled so that the largest is 100.

Main lines, by intensity (5 to 70 degrees two-theta):
d/Å	I_rel
1.846	100
1.852	51
3.018	1

```
data_LiBe3
_cell_length_a 3.6922
_cell_length_b 3.6922
_cell_length_c 3.6922
_cell_angle_alpha 119.79
_cell_angle_beta 119.79
_cell_angle_gamma 90.37
_symmetry_space_group_name_H-M 'P 1'
_symmetry_Int_Tables_number 1
loop_
_symmetry_equiv_pos_as_xyz
'x,y,z'
loop_
_atom_site_label
_atom_site_type_symbol
_atom_site_fract_x
_atom_site_fract_y
_atom_site_fract_z
Li1 Li 0.0000 0.0000 0.0000
Be1 Be 0.2500 0.7500 0.5000
Be2 Be 0.5000 0.5000 0.0000
Be3 Be 0.7500 0.2500 0.5000
```